1.
For HfAl3V8, a structure optimized by DFT (PBE) gives the computed powder diffractogram in this record (Cu Kα (λ = 1.5418 Å)).
Lines closer than 0.1° are merged.

The 10 most intense peaks (2θ from 5° to 70°), most intense first:
2theta, I (rel.)
42.1, 100
42.8, 83
39.0, 75
23.1, 60
10.8, 50
20.3, 36
35.5, 34
29.9, 34
66.1, 29
49.2, 24

Structural model:
```
data_HfAl3V8
_symmetry_space_group_name_H-M 'P 3 m 1'
_symmetry_Int_Tables_number 156
_symmetry_space_group_name_Hall 'P 3 -2"'
_cell_length_a 5.0536
_cell_length_b 5.0536
_cell_length_c 8.1635
_cell_angle_alpha 90.00
_cell_angle_beta 90.00
_cell_angle_gamma 120.00
loop_
_atom_site_label
_atom_site_type_symbol
_atom_site_fract_x
_atom_site_fract_y
_atom_site_fract_z
Hf1 Hf 0.0000 0.0000 0.0000
Al1 Al 0.0000 0.0000 0.3732
Al2 Al 0.6667 0.3333 0.5012
Al3 Al 0.6667 0.3333 0.8793
V1 V 0.1645 0.3290 0.6797
V2 V 0.3333 0.6667 0.4428
V3 V 0.3333 0.6667 0.9406
V4 V 0.5007 0.0015 0.1926
```

2.
For HfAlW, a structure optimized by DFT (PBE) gives the computed powder diffractogram in this record (Cu Kα (λ = 1.5418 Å)).
Lines closer than 0.1° are merged.

The 10 most intense peaks (2θ from 5° to 70°), most intense first:
2theta, I (rel.)
39.7, 100
39.6, 67
33.6, 53
33.8, 46
20.4, 42
39.8, 27
64.5, 24
41.5, 24
23.5, 21
64.4, 20

Structural model:
```
data_HfAlW
_symmetry_space_group_name_H-M 'I m m a'
_symmetry_Int_Tables_number 74
_symmetry_space_group_name_Hall '-I 2b 2'
_cell_length_a 5.2999
_cell_length_b 5.3258
_cell_length_c 7.5563
_cell_angle_alpha 90.00
_cell_angle_beta 90.00
_cell_angle_gamma 90.00
loop_
_atom_site_label
_atom_site_type_symbol
_atom_site_fract_x
_atom_site_fract_y
_atom_site_fract_z
Hf1 Hf 0.0000 0.2500 0.1311
Al1 Al 0.2500 0.2500 0.7500
W1 W 0.0000 0.0000 0.5000
```

3.
For YHf2Al9, a structure optimized by DFT (PBE) gives the computed powder diffractogram in this record (Cu Kα (λ = 1.5418 Å)).
Lines closer than 0.1° are merged.

The 10 most intense peaks (2θ from 5° to 70°), most intense first:
2theta, I (rel.)
39.5, 100
33.5, 93
10.1, 71
30.7, 68
19.5, 47
39.0, 30
63.9, 27
23.5, 24
58.1, 23
20.3, 22

Structural model:
```
data_YHf2Al9
_symmetry_space_group_name_H-M 'R -3 m'
_symmetry_Int_Tables_number 166
_symmetry_space_group_name_Hall '-R 3 2"'
_cell_length_a 5.3512
_cell_length_b 5.3512
_cell_length_c 26.2708
_cell_angle_alpha 90.00
_cell_angle_beta 90.00
_cell_angle_gamma 120.00
loop_
_atom_site_label
_atom_site_type_symbol
_atom_site_fract_x
_atom_site_fract_y
_atom_site_fract_z
Y1 Y 0.0000 0.0000 0.0000
Hf1 Hf 0.0000 0.0000 0.1451
Al1 Al 0.0000 0.0000 0.3342
Al2 Al 0.0000 0.0000 0.5000
Al3 Al 0.0059 0.5030 0.9131
```